Entry 1:
The following is a calculated X-ray powder pattern of Tb4Pr2Dy. It was derived from DFT lattice parameters and positions (GGA-PBE), using CuKα.
Lines closer than 0.1° are merged.

Structure:
```
Tb4Pr2Dy
1.0
11.470 0.000 0.000
0.000 11.470 0.000
0.000 0.000 3.646
Tb Pr Dy
8 4 2
Cartesian
0.381 8.602 0.010
2.867 6.116 3.636
2.867 11.089 3.636
5.354 8.602 0.010
6.116 2.867 3.636
8.602 0.381 0.010
8.602 5.354 0.010
11.089 2.867 3.636
0.000 0.000 1.823
0.000 5.735 1.823
5.735 0.000 1.823
5.735 5.735 1.823
2.867 2.867 1.811
8.602 8.602 1.835
```

Peak list (10 most intense, 2θ from 15° to 90°, sorted by position)
d (Å)	2θ/deg	Rel. int.
3.627	24.54	141
3.325	26.81	123
2.867	31.19	465
2.710	33.05	1000
2.028	44.69	138
1.914	47.50	154
1.823	50.03	76
1.623	56.70	295
1.538	60.15	143
1.356	69.32	75

=====

Entry 2:
The following is a calculated X-ray powder pattern of Pm2SmH8. It was derived from DFT lattice parameters and positions (GGA-PBE), using CuKα.
Lines closer than 0.1° are merged.

Structure:
```
Pm2SmH8
1.0
-1.893 2.662 5.676
1.893 -2.662 5.676
1.893 2.662 -5.676
Pm Sm H
2 1 8
Cartesian
0.000 0.000 1.919
0.000 0.000 9.432
0.000 0.000 5.676
1.893 1.277 -1.813
0.000 1.235 0.000
1.893 0.000 3.867
1.893 1.277 1.813
0.000 1.385 3.863
0.000 2.662 1.809
0.000 4.088 0.000
0.000 1.385 7.488
```

Peak list (10 most intense, 2θ from 15° to 90°, sorted by position)
d (Å)	2θ/deg	Rel. int.
3.085	28.95	1000
2.676	33.48	337
2.662	33.67	166
1.893	48.08	130
1.887	48.22	258
1.613	57.10	298
1.607	57.35	148
1.542	59.98	128
1.225	78.02	120
1.092	89.85	89

=====

Entry 3:
The following is a calculated X-ray powder pattern of Tl4Hg2AuS. It was derived from DFT lattice parameters and positions (GGA-PBE), using CuKα.
Lines closer than 0.1° are merged.

Structure:
```
Tl4Hg2AuS
1.0
7.569 0.000 0.000
0.000 4.065 0.000
-2.006 0.000 8.029
Tl Hg Au S
4 2 1 1
Cartesian
1.297 0.000 1.624
0.339 2.033 6.335
5.224 2.033 1.694
4.267 0.000 6.406
-1.003 0.000 4.015
2.782 2.033 4.015
3.785 0.000 0.000
0.000 2.033 0.000
```

Peak list (10 most intense, 2θ from 15° to 90°, sorted by position)
d (Å)	2θ/deg	Rel. int.
3.116	28.64	1000
2.832	31.59	74
2.432	36.97	134
2.270	39.70	225
2.141	42.22	253
2.033	44.58	110
1.836	49.66	72
1.702	53.88	120
1.560	59.25	70
1.305	72.43	76

=====

Entry 4:
The following is a calculated X-ray powder pattern of La4Zn3Sn. It was derived from DFT lattice parameters and positions (GGA-PBE), using CuKα.
Lines closer than 0.1° are merged.

Structure:
```
La4Zn3Sn
1.0
2.689 1.553 8.883
-2.689 1.553 8.883
0.000 -3.105 8.883
La Zn Sn
4 3 1
Cartesian
0.000 0.000 3.243
0.000 0.000 9.888
0.000 0.000 16.762
0.000 0.000 23.406
0.000 0.000 0.000
0.000 0.000 6.727
0.000 0.000 19.922
0.000 0.000 13.325
```

Peak list (10 most intense, 2θ from 15° to 90°, sorted by position)
d (Å)	2θ/deg	Rel. int.
3.817	23.30	140
2.709	33.06	998
2.689	33.32	1000
1.909	47.65	357
1.568	58.89	175
1.556	59.38	366
1.553	59.55	186
1.344	69.98	116
1.210	79.17	147
1.204	79.60	155